Diffraction record for Ba3DyUFeO9. The powder X-ray diffraction pattern is simulated, not measured: it uses a cell relaxed with PBE+U and λ = 1.5418 Å (Cu Kα).
No peak broadening, texture or thermal motion is included.

Atomic structure:
```
data_Ba3DyUFeO9
_chemical_formula_sum 'Ba6 Dy2 U2 Fe2 O18'
_space_group_name_H-M_alt 'P 3 m 1'
_space_group_IT_number 156
_cell_length_a 5.9526
_cell_length_b 5.9526
_cell_length_c 17.3170
_cell_angle_alpha 90.00
_cell_angle_beta 90.00
_cell_angle_gamma 120.00
loop_
_space_group_symop_operation_xyz
'x,y,z'
'-y,x-y,z'
'-x+y,-x,z'
'-y,-x,z'
'-x+y,y,z'
'x,x-y,z'
loop_
_atom_site_label
_atom_site_fract_x
_atom_site_fract_y
_atom_site_fract_z
Ba1 0.0000 0.0000 0.0000
Ba2 0.0000 0.0000 0.2365
Ba3 0.0000 0.0000 0.7341
Ba4 0.3333 0.6667 0.1282
Ba5 0.3333 0.6667 0.3658
Ba6 0.6667 0.3333 0.8791
Dy1 0.3333 0.6667 0.5667
Dy2 0.6667 0.3333 0.5192
U1 0.3333 0.6667 0.8195
U2 0.6667 0.3333 0.1822
Fe1 0.0000 0.0000 0.5399
Fe2 0.6667 0.3333 0.6829
O1 0.1679 0.3358 0.4865
O2 0.1720 0.3441 0.8874
O3 0.3361 0.1680 0.1130
O4 0.3543 0.1771 0.6066
O5 0.5006 0.0011 0.2502
O6 0.5062 0.0124 0.7509
```

The 10 most intense peaks (2θ from 15° to 90°), most intense first:
- (1 1 0), 2θ 30.02, rel. 100
- (0 1 4), 2θ 26.89, rel. 66
- (2 0 4), 2θ 40.74, rel. 35
- (0 1 3), 2θ 23.13, rel. 34
- (0 0 3), 2θ 15.35, rel. 31
- (1 2 4), 2θ 51.43, rel. 22
- (3 0 0), 2θ 53.31, rel. 20
- (1 1 6), 2θ 43.71, rel. 20
- (2 2 0), 2θ 62.40, rel. 18
- (1 1 3), 2θ 33.89, rel. 18